This entry pairs a crystal structure of Li7Co5O12 with its simulated powder XRD pattern. Radiation: Cu Kα (weighted mean of Kα1 and Kα2). Structure: a structure optimized by DFT (GGA+U).
Kinematic intensities with the Lorentz-polarization factor, no thermal factor.

Cell and atoms:
Cell lengths 4.9688, 2.9279, 14.3002 Å; angles 90.00, 91.75, 90.00 degrees
Space group P2/m (No. 10)
Symmetry-distinct sites (fractional):
1 Li 0.0000 0.0000 0.0000
2 Li 0.0000 0.0000 0.5000
3 Li 0.1539 0.5000 0.1578
4 Li 0.3356 0.0000 0.8399
5 Li 0.5000 0.5000 0.5000
6 Co 0.1667 0.5000 0.6681
7 Co 0.3332 0.0000 0.3317
8 Co 0.5000 0.5000 0.0000
9 O 0.0088 0.0000 0.2566
10 O 0.1578 0.5000 0.4076
11 O 0.2048 0.5000 0.9249
12 O 0.3416 0.0000 0.5925
13 O 0.3472 0.0000 0.0739
14 O 0.4934 0.5000 0.7409

Most intense lines, 10° ≤ 2θ ≤ 90°, most intense first:
hkl  two_theta  I/Imax
0 0 3  18.6  100
1 1 -4  43.6  58
1 1 -1  36.1  31
2 0 4  45.1  25
3 1 0  64.7  14
1 1 8  64.4  14
2 0 -2  38.0  11
2 0 1  36.9  11
4 0 -4  81.3  10
1 1 -7  57.6  10